For Ho2CuSe3, the GGA-PBE geometry in OQMD gives the simulated powder diffraction line list in this record (a wavelength of 1.5418 Å).
Peak positions follow from Bragg's law for the DFT cell and can differ from measured ones.

Lattice parameters (Å, degrees): 3.8808 13.1775 10.4333 90.00 90.00 90.00
Space group Cmcm (No. 63)
Unique sites:
Ho 0.0000 0.0000 0.0000
Ho 0.0000 0.2276 0.2500
Cu 0.0000 0.4764 0.7500
Se 0.0000 0.0991 0.7500
Se 0.0000 0.3529 0.5732

Peak list (10 most intense, 2θ = 10–80°, by angle)
h k l	two_theta	intensity
0 2 2	21.7	31
1 3 1	31.9	47
0 0 4	34.4	23
1 3 2	35.3	100
1 1 4	42.3	18
0 4 4	44.3	13
0 6 2	44.8	16
2 0 0	46.8	21
1 3 5	54.1	14
1 7 6	78.9	21

***

For Ho4CuSi3, the GGA-PBE geometry in OQMD gives the simulated powder diffraction line list in this record (a wavelength of 1.5418 Å).
Peak positions follow from Bragg's law for the DFT cell and can differ from measured ones.

Lattice parameters (Å, degrees): 5.6736 3.9319 7.6319 90.00 90.94 90.00
Space group Pm (No. 6)
Unique sites:
Ho 0.0000 0.0000 0.0000
Ho 0.2410 0.5000 0.6558
Ho 0.4947 0.5000 0.1370
Ho 0.7391 0.0000 0.5030
Cu 0.5034 0.0000 0.8574
Si 0.2471 0.0000 0.3654
Si 0.7432 0.5000 0.7865
Si 0.9922 0.5000 0.2883

Peak list (10 most intense, 2θ = 10–80°, by angle)
h k l	two_theta	intensity
1 1 0	27.6	53
1 1 -1	29.9	56
1 1 1	30.1	61
0 1 2	32.7	100
2 0 -1	33.5	51
2 0 1	33.9	54
1 1 2	36.6	32
2 1 -1	40.8	32
0 2 0	46.2	37
2 1 -3	53.4	38